No. 1
This entry pairs a crystal structure of PrOs2 with its calculated X-ray diffraction stick pattern. Radiation: copper Kα. Structure: the GGA-PBE geometry in the Materials Project.
Intensities are scaled so that the largest is 100.

Top 8 peaks for 2θ = 10–80°, in order of rising 2θ:
| d/Å | 2θ/deg | Rel. int. | (hkl) |
| --- | --- | --- | --- |
| 4.467 | 19.88 | 16 | 1 1 1 |
| 2.735 | 32.74 | 19 | 2 2 0 |
| 2.333 | 38.60 | 100 | 3 1 1 |
| 2.233 | 40.39 | 50 | 2 2 2 |
| 1.934 | 46.98 | 9 | 4 0 0 |
| 1.579 | 58.44 | 7 | 4 2 2 |
| 1.489 | 62.37 | 33 | 5 1 1 |
| 1.368 | 68.62 | 30 | 4 4 0 |

Unit cell a=7.737 b=7.737 c=7.737 alpha=90.00 beta=90.00 gamma=90.00
Space group Fd-3m (No. 227, origin choice 2)
One atom of each set of equivalent atoms:
Pr 0.125 0.125 0.125
Os 0.000 0.000 0.500

No. 2
This entry pairs a crystal structure of Pr2Os3 with its calculated X-ray diffraction stick pattern. Radiation: copper Kα. Structure: the GGA-PBE geometry in the Materials Project.
Intensities are scaled so that the largest is 100.

Top 8 peaks for 2θ = 10–80°, in order of rising 2θ:
| d/Å | 2θ/deg | Rel. int. | (hkl) |
| --- | --- | --- | --- |
| 4.594 | 19.32 | 38 | 0 0 2 |
| 3.202 | 27.87 | 36 | 1 1 1 |
| 2.868 | 31.19 | 63 | 2 0 -1 |
| 2.677 | 33.47 | 58 | 1 1 2 |
| 2.450 | 36.68 | 100 | 1 1 -3 |
| 2.267 | 39.75 | 47 | 0 2 0 |
| 1.778 | 51.39 | 38 | 2 2 -1 |
| 1.755 | 52.10 | 27 | 3 1 0 |

```
data_Pr2Os3
_chemical_formula_sum 'Pr4 Os6'
_symmetry_space_group_name_H-M 'C 1 2/m 1'
_symmetry_Int_Tables_number 12
_symmetry_space_group_name_Hall '-C 2y'
_cell_length_a 5.795
_cell_length_b 4.535
_cell_length_c 9.321
_cell_angle_alpha 90.00
_cell_angle_beta 99.72
_cell_angle_gamma 90.00
loop_
_atom_site_label
_atom_site_type_symbol
_atom_site_fract_x
_atom_site_fract_y
_atom_site_fract_z
Pr1 Pr 0.119 0.000 0.192
Os1 Os 0.000 0.500 0.000
Os2 Os 0.200 0.000 0.537
```

No. 3
This entry pairs a crystal structure of PrOs2 with its calculated X-ray diffraction stick pattern. Radiation: copper Kα. Structure: the GGA-PBE geometry in the Materials Project.
Intensities are scaled so that the largest is 100.

Top 8 peaks for 2θ = 10–80°, in order of rising 2θ:
| d/Å | 2θ/deg | Rel. int. | (hkl) |
| --- | --- | --- | --- |
| 2.558 | 35.08 | 66 | 1 0 3 |
| 2.325 | 38.73 | 100 | 1 1 2 |
| 2.293 | 39.30 | 27 | 0 0 4 |
| 2.264 | 39.82 | 97 | 2 0 1 |
| 2.082 | 43.47 | 31 | 2 0 2 |
| 1.529 | 60.55 | 28 | 0 0 6 |
| 1.443 | 64.60 | 35 | 2 0 5 |
| 1.349 | 69.72 | 29 | 2 2 0 |

```
data_PrOs2
_chemical_formula_sum 'Pr4 Os8'
_symmetry_space_group_name_H-M 'P 63/m m c'
_symmetry_Int_Tables_number 194
_symmetry_space_group_name_Hall '-P 6c 2c'
_cell_length_a 5.3954
_cell_length_b 5.3954
_cell_length_c 9.1710
_cell_angle_alpha 90.00
_cell_angle_beta 90.00
_cell_angle_gamma 120.00
loop_
_atom_site_label
_atom_site_type_symbol
_atom_site_fract_x
_atom_site_fract_y
_atom_site_fract_z
Pr1 Pr 0.3333 0.6667 0.0646
Os1 Os 0.0000 0.0000 0.0000
Os2 Os 0.1706 0.3411 0.7500
```

No. 4
This entry pairs a crystal structure of PrSb12Os4 with its calculated X-ray diffraction stick pattern. Radiation: copper Kα. Structure: the GGA-PBE geometry in the Materials Project.
Intensities are scaled so that the largest is 100.

Top 8 peaks for 2θ = 10–80°, in order of rising 2θ:
| d/Å | 2θ/deg | Rel. int. | (hkl) |
| --- | --- | --- | --- |
| 4.711 | 18.84 | 28 | 2 0 0 |
| 3.331 | 26.76 | 30 | 2 2 0 |
| 2.980 | 29.99 | 100 | 3 1 0 |
| 2.518 | 35.65 | 46 | 3 2 1 |
| 2.107 | 42.93 | 52 | 4 0 2 |
| 1.923 | 47.26 | 61 | 4 2 2 |
| 1.848 | 49.31 | 29 | 4 1 3 |
| 1.389 | 67.41 | 18 | 6 3 1 |

```
data_PrSb12Os4
_chemical_formula_sum 'Pr2 Sb24 Os8'
_symmetry_space_group_name_H-M 'I m -3'
_symmetry_Int_Tables_number 204
_symmetry_space_group_name_Hall '-I 2 2 3'
_cell_length_a 9.423
_cell_length_b 9.423
_cell_length_c 9.423
_cell_angle_alpha 90.00
_cell_angle_beta 90.00
_cell_angle_gamma 90.00
loop_
_atom_site_label
_atom_site_type_symbol
_atom_site_fract_x
_atom_site_fract_y
_atom_site_fract_z
Pr1 Pr 0.000 0.000 0.000
Sb1 Sb 0.000 0.157 0.340
Os1 Os 0.250 0.250 0.250
```

No. 5
This entry pairs a crystal structure of OsPt3 with its calculated X-ray diffraction stick pattern. Radiation: copper Kα. Structure: the GGA-PBE geometry in the Materials Project.
Intensities are scaled so that the largest is 100.

Top 8 peaks for 2θ = 10–80°, in order of rising 2θ:
| d/Å | 2θ/deg | Rel. int. | (hkl) |
| --- | --- | --- | --- |
| 3.025 | 29.53 | 1 | 0 0 9 |
| 2.280 | 39.53 | 100 | 1 0 4 |
| 2.269 | 39.72 | 32 | 0 0 12 |
| 1.972 | 46.02 | 65 | 0 1 8 |
| 1.584 | 58.26 | 1 | 1 0 13 |
| 1.397 | 66.99 | 22 | 1 1 0 |
| 1.392 | 67.26 | 20 | 1 0 16 |
| 1.336 | 70.51 | 1 | 0 1 17 |

```
data_OsPt3
_chemical_formula_sum 'Os3 Pt9'
_symmetry_space_group_name_H-M 'R -3 m'
_symmetry_Int_Tables_number 166
_symmetry_space_group_name_Hall '-R 3 2"'
_cell_length_a 2.7940
_cell_length_b 2.7940
_cell_length_c 27.2280
_cell_angle_alpha 90.00
_cell_angle_beta 90.00
_cell_angle_gamma 120.00
loop_
_atom_site_label
_atom_site_type_symbol
_atom_site_fract_x
_atom_site_fract_y
_atom_site_fract_z
Os1 Os 0.0000 0.0000 0.0000
Pt1 Pt 0.0000 0.0000 0.2531
Pt2 Pt 0.0000 0.0000 0.5000
```

No. 6
This entry pairs a crystal structure of PuOs2 with its calculated X-ray diffraction stick pattern. Radiation: copper Kα. Structure: the GGA-PBE geometry in the Materials Project.
Intensities are scaled so that the largest is 100.

Top 8 peaks for 2θ = 10–80°, in order of rising 2θ:
| d/Å | 2θ/deg | Rel. int. | (hkl) |
| --- | --- | --- | --- |
| 2.673 | 33.53 | 37 | 1 1 0 |
| 2.466 | 36.43 | 84 | 1 0 3 |
| 2.280 | 39.52 | 100 | 1 1 2 |
| 2.238 | 40.31 | 86 | 2 0 1 |
| 1.500 | 61.85 | 33 | 2 1 3 |
| 1.455 | 63.97 | 30 | 0 0 6 |
| 1.395 | 67.08 | 32 | 2 0 5 |
| 1.336 | 70.46 | 30 | 2 2 0 |

```
data_PuOs2
_chemical_formula_sum 'Pu4 Os8'
_symmetry_space_group_name_H-M 'P 63/m m c'
_symmetry_Int_Tables_number 194
_symmetry_space_group_name_Hall '-P 6c 2c'
_cell_length_a 5.3456
_cell_length_b 5.3456
_cell_length_c 8.7427
_cell_angle_alpha 90.00
_cell_angle_beta 90.00
_cell_angle_gamma 120.00
loop_
_atom_site_label
_atom_site_type_symbol
_atom_site_fract_x
_atom_site_fract_y
_atom_site_fract_z
Pu1 Pu 0.3333 0.6667 0.0675
Os1 Os 0.0000 0.0000 0.0000
Os2 Os 0.1710 0.3419 0.7500
```

No. 7
This entry pairs a crystal structure of Pu5Os3 with its calculated X-ray diffraction stick pattern. Radiation: copper Kα. Structure: the GGA-PBE geometry in the Materials Project.
Intensities are scaled so that the largest is 100.

Top 8 peaks for 2θ = 10–80°, in order of rising 2θ:
| d/Å | 2θ/deg | Rel. int. | (hkl) |
| --- | --- | --- | --- |
| 2.771 | 32.31 | 28 | 0 0 2 |
| 2.666 | 33.62 | 100 | 3 2 1 |
| 2.473 | 36.33 | 59 | 2 0 2 |
| 2.452 | 36.66 | 85 | 4 2 0 |
| 2.397 | 37.52 | 99 | 4 1 1 |
| 2.254 | 40.00 | 48 | 2 2 2 |
| 1.911 | 47.58 | 27 | 5 2 1 |
| 1.517 | 61.08 | 25 | 4 1 3 |

```
data_Pu5Os3
_chemical_formula_sum 'Pu20 Os12'
_symmetry_space_group_name_H-M 'I 4/m c m'
_symmetry_Int_Tables_number 140
_symmetry_space_group_name_Hall '-I 4 2c'
_cell_length_a 10.964
_cell_length_b 10.964
_cell_length_c 5.541
_cell_angle_alpha 90.00
_cell_angle_beta 90.00
_cell_angle_gamma 90.00
loop_
_atom_site_label
_atom_site_type_symbol
_atom_site_fract_x
_atom_site_fract_y
_atom_site_fract_z
Pu1 Pu 0.000 0.500 0.250
Pu2 Pu 0.087 0.219 0.000
Os1 Os 0.000 0.000 0.250
Os2 Os 0.150 0.350 0.500
```

No. 8
This entry pairs a crystal structure of PuOs2 with its calculated X-ray diffraction stick pattern. Radiation: copper Kα. Structure: the GGA-PBE geometry in the Materials Project.
Intensities are scaled so that the largest is 100.

Top 8 peaks for 2θ = 10–80°, in order of rising 2θ:
| d/Å | 2θ/deg | Rel. int. | (hkl) |
| --- | --- | --- | --- |
| 4.309 | 20.61 | 1 | 1 1 1 |
| 2.639 | 33.98 | 34 | 2 2 0 |
| 2.250 | 40.07 | 100 | 3 1 1 |
| 2.154 | 41.93 | 33 | 2 2 2 |
| 1.866 | 48.81 | 2 | 4 0 0 |
| 1.523 | 60.80 | 13 | 4 2 2 |
| 1.436 | 64.93 | 33 | 5 1 1 |
| 1.319 | 71.51 | 28 | 4 4 0 |

Unit cell a=7.463 b=7.463 c=7.463 alpha=90.00 beta=90.00 gamma=90.00
Space group Fd-3m (No. 227, origin choice 2)
One atom of each set of equivalent atoms:
Pu 0.125 0.125 0.125
Os 0.000 0.000 0.500